(1)
LiLu2W2Cl2O8: computed XRD peak list (copper Kα), based on a structure optimized by DFT (PBE+U).
Neutral-atom scattering factors, no anomalous dispersion.

Main lines, low angle first (2θ = 10–80°):
2θ (°)  I_rel  index
13.7  384  0 1 0
16.8  1000  1 0 -1
16.9  490  1 0 0
24.7  321  1 1 0
25.8  362  1 -1 1
26.7  815  1 0 -2
27.6  693  0 2 0
31.6  514  1 -2 1
36.0  355  2 1 -1
49.9  330  3 -1 0

Crystal structure
Unit cell a=5.958 b=6.860 c=6.865 alpha=100.21 beta=113.13 gamma=100.90
Space group P1 (No. 1)
Inequivalent atoms, fractional coordinates:
Li1 0.000 0.000 0.000 [1 per cell]
Lu1 0.333 0.227 0.523 [1 per cell]
Lu2 0.428 0.631 0.970 [1 per cell]
W1 0.122 0.625 0.388 [1 per cell]
W2 0.616 0.212 0.093 [1 per cell]
Cl1 0.803 0.215 0.790 [1 per cell]
Cl2 0.982 0.698 0.737 [1 per cell]
O1 0.167 0.904 0.455 [1 per cell]
O2 0.259 0.611 0.196 [1 per cell]
O3 0.367 0.289 0.861 [1 per cell]
O4 0.385 0.577 0.626 [1 per cell]
O5 0.399 0.165 0.233 [1 per cell]
O6 0.653 0.939 0.044 [1 per cell]
O7 0.757 0.548 0.194 [1 per cell]
O8 0.988 0.303 0.327 [1 per cell]

***

(2)
LiLu2W2Cl2O8: computed XRD peak list (copper Kα), based on a structure optimized by DFT (PBE+U).
Neutral-atom scattering factors, no anomalous dispersion.

Main lines, low angle first (2θ = 10–80°):
2θ (°)  I_rel  index
16.4  708  1 0 0
17.5  578  1 1 0
23.1  659  1 1 -1
25.2  711  0 0 2
25.6  1000  1 -1 0
26.2  502  0 1 2
28.0  550  1 2 1
29.1  359  0 2 1
30.7  407  1 0 2
33.4  318  -1 1 2

Crystal structure
Unit cell a=5.794 b=6.751 c=7.255 alpha=77.16 beta=87.16 gamma=68.66
Space group P1 (No. 1)
Inequivalent atoms, fractional coordinates:
Li1 0.000 0.000 0.000 [1 per cell]
Lu1 0.216 0.532 0.957 [1 per cell]
Lu2 0.636 0.117 0.320 [1 per cell]
W1 0.310 0.690 0.400 [1 per cell]
W2 0.528 0.982 0.863 [1 per cell]
Cl1 0.072 0.273 0.767 [1 per cell]
Cl2 0.966 0.320 0.227 [1 per cell]
O1 0.000 0.864 0.311 [1 per cell]
O2 0.314 0.606 0.654 [1 per cell]
O3 0.353 0.796 0.968 [1 per cell]
O4 0.390 0.461 0.280 [1 per cell]
O5 0.509 0.845 0.346 [1 per cell]
O6 0.529 0.189 0.017 [1 per cell]
O7 0.596 0.077 0.614 [1 per cell]
O8 0.867 0.790 0.935 [1 per cell]